Calculated X-ray powder pattern
Compound: Hf4CoNi
Radiation: CuKα
Structure: a crystal structure in Alexandria, relaxed with PBE
Kinematic intensities with the Lorentz-polarization factor, no thermal factor.

Largest 6 diffraction maxima, most intense first, 10° ≤ 2θ ≤ 90°:
2θ/deg, I (rel.)
35.84, 100
44.25, 25
62.91, 22
61.30, 21
45.26, 21
33.41, 18

Cell and atoms:
```
data_Hf4CoNi
_chemical_formula_sum 'Hf4 Co1 Ni1'
_cell_length_a 5.2217
_cell_length_b 5.2217
_cell_length_c 5.2217
_cell_angle_alpha 105.30
_cell_angle_beta 105.30
_cell_angle_gamma 118.18
_space_group_name_H-M_alt 'P 1'
_space_group_IT_number 1
_space_group_name_Hall 'P 1'
loop_
_atom_site_label
_atom_site_fract_x
_atom_site_fract_y
_atom_site_fract_z
Hf1 0.0810 0.5810 0.1621
Hf2 0.4190 0.9190 0.8379
Hf3 0.5810 0.4190 0.5000
Hf4 0.9190 0.0810 0.5000
Co1 0.5000 0.5000 0.0000
Ni1 0.0000 0.0000 0.0000
```